No. 1
The following is a computed powder XRD pattern of NaCoO2. It was derived from the PBE+U geometry in the Materials Project, using Cu Kα, 1.54184 Å.
No peak broadening, texture or thermal motion is included.

```
data_NaCoO2
_chemical_formula_sum 'Na4 Co4 O8'
_cell_length_a 2.8470
_cell_length_b 6.3361
_cell_length_c 9.4277
_cell_angle_alpha 89.99
_cell_angle_beta 89.99
_cell_angle_gamma 89.92
_symmetry_space_group_name_H-M 'P 1'
_symmetry_Int_Tables_number 1
loop_
_symmetry_equiv_pos_as_xyz
'x,y,z'
loop_
_atom_site_label
_atom_site_type_symbol
_atom_site_fract_x
_atom_site_fract_y
_atom_site_fract_z
Na1 Na 0.0000 0.0000 0.0000
Na2 Na 0.0009 0.0018 0.4994
Na3 Na 0.5004 0.7553 0.2489
Na4 Na 0.5013 0.7505 0.7494
Co1 Co 0.0000 0.4985 0.0011
Co2 Co 0.0006 0.4974 0.4958
Co3 Co 0.5004 0.2568 0.2483
Co4 Co 0.5012 0.2548 0.7534
O1 O 0.0001 0.4596 0.2430
O2 O 0.0013 0.0543 0.7491
O3 O 0.0007 0.0555 0.2497
O4 O 0.0011 0.4565 0.7485
O5 O 0.4991 0.6993 0.9994
O6 O 0.5007 0.2957 0.9974
O7 O 0.5006 0.2967 0.4895
O8 O 0.5009 0.6987 0.4998
```

Top 8 peaks for 10° ≤ 2θ ≤ 90°, low angle first:
(0 1 0), 2θ = 13.98°, I = 87
(0 1 -2), 2θ = 23.52°, I = 44
(0 2 -2), 2θ = 34.10°, I = 53
(1 0 2), 2θ = 36.88°, I = 35
(0 0 4), 2θ = 38.18°, I = 78
(1 2 0), 2θ = 42.70°, I = 100
(1 2 4), 2θ = 58.60°, I = 68
(1 4 -2), 2θ = 70.97°, I = 18



No. 2
The following is a computed powder XRD pattern of LiV3OF11. It was derived from the PBE+U geometry in the Materials Project, using Cu Kα, 1.54184 Å.
No peak broadening, texture or thermal motion is included.

```
data_LiV3OF11
_chemical_formula_sum 'Li2 V6 O2 F22'
_cell_length_a 5.3044
_cell_length_b 5.4741
_cell_length_c 15.6569
_cell_angle_alpha 80.64
_cell_angle_beta 89.92
_cell_angle_gamma 89.84
_symmetry_space_group_name_H-M 'P 1'
_symmetry_Int_Tables_number 1
loop_
_symmetry_equiv_pos_as_xyz
'x,y,z'
loop_
_atom_site_label
_atom_site_type_symbol
_atom_site_fract_x
_atom_site_fract_y
_atom_site_fract_z
Li1 Li 0.0000 0.0000 0.0000
Li2 Li 0.1114 0.3976 0.3412
V1 V 0.2511 0.3305 0.8415
V2 V 0.2758 0.0267 0.5177
V3 V 0.2834 0.6979 0.1755
V4 V 0.7696 0.8584 0.8359
V5 V 0.7735 0.1953 0.1794
V6 V 0.7756 0.5341 0.5063
O1 O 0.0620 0.0760 0.8635
O2 O 0.8651 0.5537 0.4038
F1 F 0.0706 0.3792 0.2071
F2 F 0.0750 0.7326 0.5360
F3 F 0.1892 0.7488 0.0571
F4 F 0.1907 0.0778 0.4021
F5 F 0.2073 0.4265 0.7302
F6 F 0.3479 0.6415 0.2947
F7 F 0.3548 0.3277 0.9509
F8 F 0.3641 0.9933 0.6273
F9 F 0.4702 0.3301 0.4896
F10 F 0.4830 0.0189 0.1526
F11 F 0.4871 0.6640 0.8230
F12 F 0.5570 0.1592 0.8185
F13 F 0.5653 0.8388 0.4890
F14 F 0.5872 0.5034 0.1526
F15 F 0.6944 0.1613 0.2904
F16 F 0.6997 0.4837 0.6231
F17 F 0.7154 0.8389 0.9522
F18 F 0.8675 0.9110 0.7280
F19 F 0.8735 0.2357 0.0658
F20 F 0.9705 0.8930 0.1970
F21 F 0.9833 0.5619 0.8632
F22 F 0.9846 0.2186 0.5381
```

Top 8 peaks for 10° ≤ 2θ ≤ 90°, low angle first:
(0 0 3), 2θ = 17.22°, I = 100
(1 1 -1), 2θ = 24.85°, I = 81
(1 1 2), 2θ = 24.99°, I = 80
(0 0 6), 2θ = 34.85°, I = 14
(-2 1 2), 2θ = 38.86°, I = 19
(2 2 1), 2θ = 47.68°, I = 14
(-2 2 1), 2θ = 47.83°, I = 14
(-1 1 8), 2θ = 50.56°, I = 14



Question: What is the formula in the first record?
Answer: NaCoO2